Calculated powder X-ray diffraction pattern
Compound: Sm3Ge5
Radiation: Cu Kα X-rays
Structure: a structure optimized by DFT (PBE)

The 10 most intense peaks (5 to 70 degrees two-theta), by angle:
- hkl 1 1 0, 2θ 25.41, rel. 19
- hkl 2 0 1, 2θ 31.27, rel. 5
- hkl 1 1 2, 2θ 33.03, rel. 100
- hkl 2 1 1, 2θ 40.71, rel. 8
- hkl 0 0 4, 2θ 42.23, rel. 15
- hkl 3 0 0, 2θ 44.79, rel. 30
- hkl 1 1 4, 2θ 49.91, rel. 9
- hkl 2 2 0, 2θ 52.20, rel. 5
- hkl 2 2 2, 2θ 56.76, rel. 16
- hkl 3 0 4, 2θ 63.24, rel. 20

Crystal structure
```
data_Sm3Ge5
_symmetry_space_group_name_H-M 'P -6 2 c'
_symmetry_Int_Tables_number 190
_symmetry_space_group_name_Hall 'P -6c -2c'
_cell_length_a 7.0098
_cell_length_b 7.0098
_cell_length_c 8.5607
_cell_angle_alpha 90.00
_cell_angle_beta 90.00
_cell_angle_gamma 120.00
loop_
_atom_site_label
_atom_site_fract_x
_atom_site_fract_y
_atom_site_fract_z
Sm1 0.0000 0.3319 0.0000
Ge1 0.0000 0.0000 0.2500
Ge2 0.0679 0.6698 0.2500
Ge3 0.3333 0.6667 0.7500
```

---

Calculated powder X-ray diffraction pattern
Compound: Zn4Ga7Ag
Radiation: Cu Kα X-rays
Structure: a structure optimized by DFT (PBE)

The 10 most intense peaks (5 to 70 degrees two-theta), by angle:
- hkl 0 0 1, 2θ 6.73, rel. 4
- hkl 0 0 2, 2θ 13.48, rel. 1
- hkl 1 0 1, 2θ 24.40, rel. 1
- hkl 0 1 3, 2θ 31.17, rel. 1
- hkl 1 0 4, 2θ 36.16, rel. 100
- hkl 1 1 0, 2θ 41.18, rel. 71
- hkl 0 1 5, 2θ 41.80, rel. 3
- hkl 0 2 4, 2θ 55.94, rel. 28
- hkl 0 1 8, 2θ 61.51, rel. 16
- hkl 1 1 7, 2θ 65.45, rel. 1

Crystal structure
```
data_Zn4Ga7Ag
_symmetry_space_group_name_H-M 'P -3 m 1'
_symmetry_Int_Tables_number 164
_symmetry_space_group_name_Hall '-P 3 2"'
_cell_length_a 4.3845
_cell_length_b 4.3845
_cell_length_c 13.1401
_cell_angle_alpha 90.00
_cell_angle_beta 90.00
_cell_angle_gamma 120.00
loop_
_atom_site_label
_atom_site_fract_x
_atom_site_fract_y
_atom_site_fract_z
Zn1 0.3333 0.6667 0.1477
Zn2 0.3333 0.6667 0.4177
Ga1 0.0000 0.0000 0.2464
Ga2 0.0000 0.0000 0.5000
Ga3 0.3333 0.6667 0.6635
Ga4 0.3333 0.6667 0.9016
Ag1 0.0000 0.0000 0.0000
```